Li2Nb4O11: calculated powder diffraction line list (λ = 1.5418 Å (Cu Kα)), based on a crystal structure in Alexandria, relaxed with GGA-PBE.
Neutral-atom scattering factors, no anomalous dispersion.

Principal peaks in the range 2θ from 15° to 90°, low angle first:
| (hkl) | two_theta | intensity |
| --- | --- | --- |
| 2 0 0 | 16.6 | 295 |
| 1 1 -1 | 17.0 | 648 |
| 3 1 0 | 28.8 | 1000 |
| 0 0 4 | 29.0 | 616 |
| 0 2 1 | 29.6 | 486 |
| 3 1 -3 | 31.5 | 657 |
| 3 3 -1 | 50.3 | 327 |
| 3 3 -5 | 59.1 | 293 |

Structural model:
```
data_Li2Nb4O11
_chemical_formula_sum 'Li8 Nb16 O44'
_space_group_name_H-M_alt 'C 1 2/c 1'
_space_group_IT_number 15
_cell_length_a 11.1876
_cell_length_b 6.2298
_cell_length_c 12.8941
_cell_angle_alpha 90.00
_cell_angle_beta 106.93
_cell_angle_gamma 90.00
loop_
_space_group_symop_operation_xyz
'x,y,z'
'-x,-y,-z'
'-x,y,-z+1/2'
'x,-y,z+1/2'
'x+1/2,y+1/2,z'
'-x+1/2,-y+1/2,-z'
'-x+1/2,y+1/2,-z+1/2'
'x+1/2,-y+1/2,z+1/2'
loop_
_atom_site_label
_atom_site_type_symbol
_atom_site_fract_x
_atom_site_fract_y
_atom_site_fract_z
_atom_site_occupancy
Li1 Li 0.1088 0.2424 0.0595 1
Nb1 Nb 0.0000 0.1190 0.2500 1
Nb2 Nb 0.1743 0.4239 0.7482 1
Nb3 Nb 0.2500 0.2500 0.5000 1
O1 O 0.0000 0.4870 0.2500 1
O2 O 0.0775 0.1624 0.4082 1
O3 O 0.1128 0.1365 0.7464 1
O4 O 0.1578 0.2454 0.2212 1
O5 O 0.1702 0.4287 0.5936 1
O6 O 0.2462 0.4906 0.9055 1
```